# B5C7
Simulated PXRD pattern, Cu Kα (weighted mean of Kα1 and Kα2). Input: a cell relaxed with PBE.
Neutral-atom scattering factors, no anomalous dispersion.

Main lines, in order of rising 2θ (2θ = 10–80°):
2θ (°), I_rel, index
24.7, 21, 0 1 1
31.6, 24, 0 0 2
41.0, 100, 1 1 -1
41.2, 82, 1 1 2
41.5, 95, 1 -1 1
42.4, 80, -1 1 2
69.7, 23, 2 2 1
70.8, 25, 0 2 4
71.0, 22, 2 0 3
72.0, 22, -2 2 1

```
12
Lattice="3.697 0.000 0.000 0.109 3.830 0.000 0.109 1.798 5.670" Properties=species:S:1:pos:R:3 pbc="T T T"
B 0.000 0.000 0.000
B 0.276 2.006 1.601
B 1.094 4.752 4.379
B 2.100 1.687 0.091
B 2.827 4.508 2.904
C 0.215 3.627 3.673
C 1.028 0.815 0.914
C 1.108 2.791 2.756
C 1.994 3.708 1.778
C 2.025 1.897 3.619
C 2.864 2.839 0.873
C 2.956 2.736 4.523
```